The following is a computed X-ray powder pattern of PmSmEr4Tm2. It was derived from DFT lattice parameters and positions (GGA-PBE), using Cu Kα (weighted mean of Kα1 and Kα2).

```
data_PmSmEr4Tm2
_cell_length_a 9.4517
_cell_length_b 9.4517
_cell_length_c 6.7520
_cell_angle_alpha 110.92
_cell_angle_beta 110.92
_cell_angle_gamma 88.72
_symmetry_space_group_name_H-M 'P 1'
_symmetry_Int_Tables_number 1
loop_
_symmetry_equiv_pos_as_xyz
'x,y,z'
loop_
_atom_site_label
_atom_site_fract_x
_atom_site_fract_y
_atom_site_fract_z
Pm1 0.0000 0.5000 0.0000
Pm2 0.5000 0.0000 0.5000
Sm1 0.0000 0.0000 0.0000
Sm2 0.0000 0.0000 0.5000
Er1 0.2506 0.2564 0.5021
Er2 0.2534 0.7464 0.5015
Er3 0.2536 0.7466 0.9985
Er4 0.2564 0.2506 0.0021
Er5 0.7436 0.7494 0.9979
Er6 0.7464 0.2534 0.0015
Er7 0.7466 0.2536 0.4985
Er8 0.7494 0.7436 0.4979
Tm1 0.0000 0.5000 0.5000
Tm2 0.5000 0.0000 0.0000
Tm3 0.5000 0.5000 0.0000
Tm4 0.5000 0.5000 0.5000
```

Top 10 peaks for 2θ from 15° to 90°, by intensity:
30.56 deg, I 100.0; 41.22 deg, I 88.9; 26.99 deg, I 45.7; 61.68 deg, I 27.2; 64.81 deg, I 23.2; 54.31 deg, I 20.0; 70.39 deg, I 18.4; 81.50 deg, I 12.3; 89.49 deg, I 10.1; 63.63 deg, I 8.3

The following is a computed X-ray powder pattern of PmSmEr2Tm2. It was derived from DFT lattice parameters and positions (GGA-PBE), using Cu Kα (weighted mean of Kα1 and Kα2).

```
data_PmSmEr2Tm2
_cell_length_a 6.5429
_cell_length_b 17.6407
_cell_length_c 3.3814
_cell_angle_alpha 90.00
_cell_angle_beta 90.00
_cell_angle_gamma 90.00
_symmetry_space_group_name_H-M 'P 1'
_symmetry_Int_Tables_number 1
loop_
_symmetry_equiv_pos_as_xyz
'x,y,z'
loop_
_atom_site_label
_atom_site_fract_x
_atom_site_fract_y
_atom_site_fract_z
Pm1 0.0000 0.0000 0.0000
Pm2 0.5000 0.5000 0.5000
Sm1 0.0000 0.5000 0.0000
Sm2 0.5000 0.0000 0.5000
Er1 0.2279 0.1845 0.0000
Er2 0.2721 0.6845 0.5000
Er3 0.7279 0.3155 0.5000
Er4 0.7721 0.8155 0.0000
Tm1 0.2264 0.3501 0.5000
Tm2 0.2736 0.8501 0.0000
Tm3 0.7264 0.1499 0.0000
Tm4 0.7736 0.6499 0.5000
```

Top 10 peaks for 2θ from 15° to 90°, by intensity:
30.45 deg, I 100.0; 29.11 deg, I 56.7; 41.35 deg, I 45.5; 34.12 deg, I 33.6; 33.44 deg, I 26.2; 65.29 deg, I 22.1; 26.85 deg, I 19.8; 31.46 deg, I 19.5; 36.18 deg, I 18.9; 56.02 deg, I 14.6

The following is a computed X-ray powder pattern of Pm2SmEr2Tm. It was derived from DFT lattice parameters and positions (GGA-PBE), using Cu Kα (weighted mean of Kα1 and Kα2).

```
data_Pm2SmEr2Tm
_cell_length_a 6.0973
_cell_length_b 18.2553
_cell_length_c 3.5371
_cell_angle_alpha 90.00
_cell_angle_beta 90.00
_cell_angle_gamma 90.00
_symmetry_space_group_name_H-M 'P 1'
_symmetry_Int_Tables_number 1
loop_
_symmetry_equiv_pos_as_xyz
'x,y,z'
loop_
_atom_site_label
_atom_site_fract_x
_atom_site_fract_y
_atom_site_fract_z
Pm1 0.1662 0.1562 0.0000
Pm2 0.3338 0.6562 0.5000
Pm3 0.6662 0.3438 0.5000
Pm4 0.8338 0.8438 0.0000
Sm1 0.0000 0.5000 0.5000
Sm2 0.5000 0.0000 0.0000
Er1 0.1653 0.3437 0.0000
Er2 0.3347 0.8437 0.5000
Er3 0.6653 0.1563 0.5000
Er4 0.8347 0.6563 0.0000
Tm1 0.0000 0.0000 0.5000
Tm2 0.5000 0.5000 0.0000
```

Top 10 peaks for 2θ from 15° to 90°, by intensity:
35.35 deg, I 100.0; 38.41 deg, I 77.3; 29.36 deg, I 75.0; 29.60 deg, I 73.7; 30.82 deg, I 63.5; 60.74 deg, I 48.5; 29.71 deg, I 37.3; 51.89 deg, I 34.3; 30.92 deg, I 30.9; 58.93 deg, I 29.1

Question: Number 3 is which compound?
Answer: Pm2SmEr2Tm